(1)
Structure and simulated powder diffraction line list of CdCu5Cl12 (a structure optimized by DFT (GGA-PBE); Cu Kα).
Kinematic intensities with the Lorentz-polarization factor, no thermal factor.

Structural model:
```
data_CdCu5Cl12
_cell_length_a 5.921
_cell_length_b 6.435
_cell_length_c 13.023
_cell_angle_alpha 79.12
_cell_angle_beta 80.20
_cell_angle_gamma 65.03
_symmetry_space_group_name_H-M 'P -1'
_symmetry_Int_Tables_number 2
loop_
_symmetry_equiv_pos_as_xyz
'x,y,z'
'-x,-y,-z'
loop_
_atom_site_label
_atom_site_type_symbol
_atom_site_fract_x
_atom_site_fract_y
_atom_site_fract_z
Cd1 Cd 0.000 0.000 0.000
Cu1 Cu 0.000 0.000 0.500
Cu2 Cu 0.331 0.349 0.996
Cu3 Cu 0.334 0.333 0.500
Cl1 Cl 0.016 0.413 0.895
Cl2 Cl 0.031 0.237 0.608
Cl3 Cl 0.302 0.097 0.392
Cl4 Cl 0.358 0.886 0.116
Cl5 Cl 0.364 0.571 0.608
Cl6 Cl 0.390 0.726 0.886
```

Top 12 peaks for 2θ = 5–70°, low angle first:
- (0 0 2), 13.92°, intensity 100
- (1 -1 0), 26.91°, intensity 9
- (1 2 0), 28.57°, intensity 8
- (1 -1 2), 30.57°, intensity 14
- (1 2 -1), 30.81°, intensity 9
- (-1 1 3), 34.14°, intensity 12
- (1 2 -2), 34.43°, intensity 13
- (2 1 -2), 36.13°, intensity 10
- (2 1 4), 38.03°, intensity 11
- (1 -1 4), 39.50°, intensity 9
- (2 1 -4), 45.82°, intensity 9
- (0 3 2), 47.46°, intensity 10

---

(2)
Structure and simulated powder diffraction line list of YMgCd (a structure optimized by DFT (GGA-PBE); Cu Kα).
Kinematic intensities with the Lorentz-polarization factor, no thermal factor.

Structural model:
```
data_YMgCd
_cell_length_a 3.483
_cell_length_b 3.483
_cell_length_c 12.451
_cell_angle_alpha 90.00
_cell_angle_beta 90.00
_cell_angle_gamma 90.00
_symmetry_space_group_name_H-M 'I 4 m m'
_symmetry_Int_Tables_number 107
_symmetry_space_group_name_Hall 'I 4 -2'
loop_
_atom_site_label
_atom_site_type_symbol
_atom_site_fract_x
_atom_site_fract_y
_atom_site_fract_z
Y1 Y 0.000 0.000 0.000
Mg1 Mg 0.000 0.000 0.686
Cd1 Cd 0.000 0.000 0.331
```

Top 12 peaks for 2θ = 5–70°, low angle first:
- (0 0 2), 14.23°, intensity 24
- (1 0 1), 26.58°, intensity 23
- (0 0 4), 28.68°, intensity 5
- (1 0 3), 33.59°, intensity 100
- (1 1 0), 36.48°, intensity 40
- (1 1 2), 39.34°, intensity 8
- (0 0 6), 43.62°, intensity 11
- (1 0 5), 44.74°, intensity 6
- (1 1 4), 47.05°, intensity 5
- (2 0 0), 52.55°, intensity 14
- (1 1 6), 58.13°, intensity 19
- (2 1 3), 63.83°, intensity 29

---

(3)
Structure and simulated powder diffraction line list of Dy5MgTl2 (a structure optimized by DFT (GGA-PBE); Cu Kα).
Kinematic intensities with the Lorentz-polarization factor, no thermal factor.

Structural model:
```
data_Dy5MgTl2
_cell_length_a 4.636
_cell_length_b 11.273
_cell_length_c 17.389
_cell_angle_alpha 90.00
_cell_angle_beta 90.00
_cell_angle_gamma 90.00
_symmetry_space_group_name_H-M 'C m c m'
_symmetry_Int_Tables_number 63
_symmetry_space_group_name_Hall '-C 2c 2'
loop_
_atom_site_label
_atom_site_type_symbol
_atom_site_fract_x
_atom_site_fract_y
_atom_site_fract_z
Dy1 Dy 0.000 0.036 0.250
Dy2 Dy 0.000 0.155 0.040
Dy3 Dy 0.000 0.456 0.099
Mg1 Mg 0.000 0.318 0.250
Tl1 Tl 0.000 0.258 0.652
```

Top 12 peaks for 2θ = 5–70°, low angle first:
- (1 1 4), 29.26°, intensity 68
- (1 3 1), 31.06°, intensity 76
- (1 3 2), 32.35°, intensity 55
- (1 1 5), 33.17°, intensity 100
- (0 2 6), 34.81°, intensity 43
- (0 4 3), 35.42°, intensity 29
- (2 0 0), 38.85°, intensity 48
- (2 2 6), 53.13°, intensity 33
- (2 4 3), 53.58°, intensity 18
- (1 1 10), 57.16°, intensity 18
- (1 5 7), 58.79°, intensity 31
- (1 7 1), 61.15°, intensity 17

---

(4)
Structure and simulated powder diffraction line list of Pr4TlSnH (a structure optimized by DFT (GGA-PBE); Cu Kα).
Kinematic intensities with the Lorentz-polarization factor, no thermal factor.

Structural model:
```
data_Pr4TlSnH
_cell_length_a 6.718
_cell_length_b 17.748
_cell_length_c 6.691
_cell_angle_alpha 90.00
_cell_angle_beta 90.00
_cell_angle_gamma 90.00
_symmetry_space_group_name_H-M 'C m c m'
_symmetry_Int_Tables_number 63
_symmetry_space_group_name_Hall '-C 2c 2'
loop_
_atom_site_label
_atom_site_type_symbol
_atom_site_fract_x
_atom_site_fract_y
_atom_site_fract_z
Pr1 Pr 0.000 0.070 0.250
Pr2 Pr 0.000 0.429 0.250
Pr3 Pr 0.250 0.250 0.000
Tl1 Tl 0.000 0.113 0.750
Sn1 Sn 0.000 0.387 0.750
H1 H 0.000 0.207 0.250
```

Top 12 peaks for 2θ = 5–70°, low angle first:
- (2 2 0), 28.41°, intensity 49
- (0 2 2), 28.51°, intensity 48
- (0 6 0), 30.22°, intensity 37
- (1 5 1), 31.48°, intensity 37
- (2 4 0), 33.50°, intensity 100
- (2 0 2), 37.96°, intensity 68
- (1 7 1), 40.34°, intensity 15
- (2 6 2), 49.26°, intensity 44
- (3 5 1), 50.07°, intensity 14
- (1 11 1), 60.63°, intensity 16
- (4 4 2), 65.67°, intensity 15
- (2 4 4), 65.82°, intensity 14

---

(5)
Structure and simulated powder diffraction line list of As4Pd5Pb (a structure optimized by DFT (GGA-PBE); Cu Kα).
Kinematic intensities with the Lorentz-polarization factor, no thermal factor.

Structural model:
```
data_As4Pd5Pb
_cell_length_a 11.907
_cell_length_b 7.060
_cell_length_c 9.370
_cell_angle_alpha 90.00
_cell_angle_beta 108.73
_cell_angle_gamma 90.00
_symmetry_space_group_name_H-M 'C 1 c 1'
_symmetry_Int_Tables_number 9
loop_
_symmetry_equiv_pos_as_xyz
'x,y,z'
'x,-y,z+1/2'
'x+1/2,y+1/2,z'
'x+1/2,-y+1/2,z+1/2'
loop_
_atom_site_label
_atom_site_type_symbol
_atom_site_fract_x
_atom_site_fract_y
_atom_site_fract_z
As1 As 0.000 0.127 0.000
As2 As 0.079 0.331 0.716
As3 As 0.256 0.327 0.143
As4 As 0.400 0.165 0.793
Pd1 Pd 0.066 0.467 0.969
Pd2 Pd 0.192 0.028 0.696
Pd3 Pd 0.297 0.439 0.901
Pd4 Pd 0.368 0.079 0.050
Pd5 Pd 0.457 0.491 0.226
Pb1 Pb 0.188 0.204 0.430
```

Top 12 peaks for 2θ = 5–70°, low angle first:
- (3 1 -1), 25.87°, intensity 16
- (1 1 2), 26.98°, intensity 22
- (2 2 -1), 29.85°, intensity 48
- (3 1 1), 31.36°, intensity 100
- (2 2 1), 33.17°, intensity 15
- (3 1 -3), 34.43°, intensity 17
- (1 3 -1), 39.77°, intensity 27
- (4 2 -2), 40.92°, intensity 69
- (5 1 0), 42.08°, intensity 92
- (1 3 2), 45.54°, intensity 52
- (2 0 4), 48.70°, intensity 25
- (6 2 2), 65.44°, intensity 17

---

(6)
Structure and simulated powder diffraction line list of Ac7DyPb5 (a structure optimized by DFT (GGA-PBE); Cu Kα).
Kinematic intensities with the Lorentz-polarization factor, no thermal factor.

Structural model:
```
data_Ac7DyPb5
_cell_length_a 6.989
_cell_length_b 11.679
_cell_length_c 12.074
_cell_angle_alpha 90.00
_cell_angle_beta 90.00
_cell_angle_gamma 90.00
_symmetry_space_group_name_H-M 'I m m 2'
_symmetry_Int_Tables_number 44
loop_
_symmetry_equiv_pos_as_xyz
'x,y,z'
'-x,-y,z'
'-x,y,z'
'x,-y,z'
'x+1/2,y+1/2,z+1/2'
'-x+1/2,-y+1/2,z+1/2'
'-x+1/2,y+1/2,z+1/2'
'x+1/2,-y+1/2,z+1/2'
loop_
_atom_site_label
_atom_site_type_symbol
_atom_site_fract_x
_atom_site_fract_y
_atom_site_fract_z
Ac1 Ac 0.000 0.000 0.000
Ac2 Ac 0.000 0.000 0.357
Ac3 Ac 0.000 0.319 0.562
Ac4 Ac 0.000 0.336 0.049
Ac5 Ac 0.000 0.500 0.312
Dy1 Dy 0.000 0.000 0.678
Pb1 Pb 0.000 0.500 0.797
Pb2 Pb 0.232 0.236 0.805
```

Top 12 peaks for 2θ = 5–70°, low angle first:
- (2 0 0), 25.51°, intensity 31
- (1 3 0), 26.20°, intensity 29
- (0 0 4), 29.57°, intensity 75
- (2 2 0), 29.81°, intensity 55
- (1 3 2), 30.16°, intensity 67
- (1 1 4), 33.23°, intensity 23
- (2 2 2), 33.37°, intensity 100
- (0 4 2), 34.11°, intensity 33
- (4 0 0), 52.35°, intensity 21
- (2 6 0), 53.92°, intensity 31
- (2 2 6), 54.95°, intensity 24
- (2 6 4), 62.71°, intensity 21

---

(7)
Structure and simulated powder diffraction line list of CaPm2Cd2In2 (a structure optimized by DFT (GGA-PBE); Cu Kα).
Kinematic intensities with the Lorentz-polarization factor, no thermal factor.

Structural model:
```
data_CaPm2Cd2In2
_cell_length_a 4.9702
_cell_length_b 4.9702
_cell_length_c 28.3751
_cell_angle_alpha 90.00
_cell_angle_beta 90.00
_cell_angle_gamma 120.00
_symmetry_space_group_name_H-M 'R -3 m'
_symmetry_Int_Tables_number 166
_symmetry_space_group_name_Hall '-R 3 2"'
loop_
_atom_site_label
_atom_site_type_symbol
_atom_site_fract_x
_atom_site_fract_y
_atom_site_fract_z
Ca1 Ca 0.0000 0.0000 0.0000
Pm1 Pm 0.0000 0.0000 0.1283
Cd1 Cd 0.0000 0.0000 0.4019
In1 In 0.0000 0.0000 0.2569
```

Top 12 peaks for 2θ = 5–70°, low angle first:
- (0 0 6), 18.76°, intensity 32
- (1 0 4), 24.19°, intensity 17
- (1 0 7), 30.29°, intensity 48
- (0 1 8), 32.72°, intensity 74
- (1 1 0), 36.14°, intensity 100
- (1 1 6), 41.03°, intensity 26
- (0 2 7), 47.85°, intensity 13
- (2 0 8), 49.54°, intensity 23
- (2 1 7), 61.41°, intensity 12
- (1 1 15), 61.62°, intensity 29
- (1 2 8), 62.84°, intensity 22
- (3 0 0), 65.00°, intensity 17

---

(8)
Structure and simulated powder diffraction line list of Sr2Ag17 (a structure optimized by DFT (GGA-PBE); Cu Kα).
Kinematic intensities with the Lorentz-polarization factor, no thermal factor.

Structural model:
```
data_Sr2Ag17
_cell_length_a 9.7379
_cell_length_b 9.7379
_cell_length_c 14.4092
_cell_angle_alpha 90.00
_cell_angle_beta 90.00
_cell_angle_gamma 120.00
_symmetry_space_group_name_H-M 'R -3 m'
_symmetry_Int_Tables_number 166
_symmetry_space_group_name_Hall '-R 3 2"'
loop_
_atom_site_label
_atom_site_type_symbol
_atom_site_fract_x
_atom_site_fract_y
_atom_site_fract_z
Sr1 Sr 0.0000 0.0000 0.1606
Ag1 Ag 0.0000 0.0000 0.4023
Ag2 Ag 0.0000 0.2985 0.5000
Ag3 Ag 0.0000 0.5000 0.0000
Ag4 Ag 0.9998 0.4999 0.3467
```

Top 12 peaks for 2θ = 5–70°, low angle first:
- (1 0 1), 12.16°, intensity 19
- (1 1 0), 18.22°, intensity 19
- (3 0 0), 31.83°, intensity 30
- (0 2 4), 32.70°, intensity 24
- (2 2 0), 36.92°, intensity 60
- (3 0 3), 37.05°, intensity 100
- (0 0 6), 37.45°, intensity 38
- (2 0 5), 37.81°, intensity 22
- (2 2 3), 41.59°, intensity 92
- (1 1 6), 41.95°, intensity 28
- (6 0 0), 66.53°, intensity 24
- (0 3 9), 67.30°, intensity 22

---

(9)
Structure and simulated powder diffraction line list of Cs2GaPbO4 (a structure optimized by DFT (GGA-PBE); Cu Kα).
Kinematic intensities with the Lorentz-polarization factor, no thermal factor.

Structural model:
```
data_Cs2GaPbO4
_cell_length_a 7.499
_cell_length_b 7.289
_cell_length_c 6.454
_cell_angle_alpha 90.00
_cell_angle_beta 90.00
_cell_angle_gamma 90.00
_symmetry_space_group_name_H-M 'P m n 21'
_symmetry_Int_Tables_number 31
loop_
_symmetry_equiv_pos_as_xyz
'x,y,z'
'-x+1/2,-y,z+1/2'
'-x,y,z'
'x+1/2,-y,z+1/2'
loop_
_atom_site_label
_atom_site_type_symbol
_atom_site_fract_x
_atom_site_fract_y
_atom_site_fract_z
Cs1 Cs 0.246 0.218 0.000
Ga1 Ga 0.000 0.348 0.500
Pb1 Pb 0.000 0.681 0.000
O1 O 0.000 0.489 0.744
O2 O 0.000 0.492 0.259
O3 O 0.209 0.203 0.499
```

Top 12 peaks for 2θ = 5–70°, low angle first:
- (1 0 1), 18.14°, intensity 11
- (0 2 0), 24.42°, intensity 29
- (2 1 0), 26.74°, intensity 15
- (0 0 2), 27.64°, intensity 41
- (0 2 1), 28.12°, intensity 25
- (2 1 1), 30.17°, intensity 100
- (0 2 2), 37.20°, intensity 32
- (2 3 0), 44.43°, intensity 13
- (2 1 3), 50.49°, intensity 24
- (2 3 2), 53.13°, intensity 20
- (0 0 4), 57.07°, intensity 14
- (4 2 2), 62.73°, intensity 10

---

(10)
Structure and simulated powder diffraction line list of CaEr2C (a structure optimized by DFT (GGA-PBE); Cu Kα).
Kinematic intensities with the Lorentz-polarization factor, no thermal factor.

Structural model:
```
data_CaEr2C
_cell_length_a 3.6100
_cell_length_b 3.6100
_cell_length_c 9.2720
_cell_angle_alpha 90.00
_cell_angle_beta 90.00
_cell_angle_gamma 120.00
_symmetry_space_group_name_H-M 'P -3 m 1'
_symmetry_Int_Tables_number 164
_symmetry_space_group_name_Hall '-P 3 2"'
loop_
_atom_site_label
_atom_site_type_symbol
_atom_site_fract_x
_atom_site_fract_y
_atom_site_fract_z
Ca1 Ca 0.0000 0.0000 0.0000
Er1 Er 0.3333 0.6667 0.6419
C1 C 0.0000 0.0000 0.5000
```

Top 12 peaks for 2θ = 5–70°, low angle first:
- (0 0 1), 9.54°, intensity 100
- (0 0 3), 28.89°, intensity 28
- (1 0 1), 30.17°, intensity 96
- (0 1 2), 34.61°, intensity 84
- (0 1 3), 41.07°, intensity 18
- (1 0 4), 48.92°, intensity 20
- (1 1 0), 50.57°, intensity 24
- (1 0 5), 57.81°, intensity 17
- (1 1 3), 59.29°, intensity 22
- (0 2 1), 60.02°, intensity 14
- (2 0 2), 62.73°, intensity 15
- (1 1 4), 65.55°, intensity 10

---

(11)
Structure and simulated powder diffraction line list of DyPuCd (a structure optimized by DFT (GGA-PBE); Cu Kα).
Kinematic intensities with the Lorentz-polarization factor, no thermal factor.

Structural model:
```
data_DyPuCd
_cell_length_a 3.420
_cell_length_b 3.420
_cell_length_c 14.024
_cell_angle_alpha 90.00
_cell_angle_beta 90.00
_cell_angle_gamma 90.00
_symmetry_space_group_name_H-M 'I 4 m m'
_symmetry_Int_Tables_number 107
_symmetry_space_group_name_Hall 'I 4 -2'
loop_
_atom_site_label
_atom_site_type_symbol
_atom_site_fract_x
_atom_site_fract_y
_atom_site_fract_z
Dy1 Dy 0.000 0.000 0.000
Pu1 Pu 0.000 0.000 0.319
Cd1 Cd 0.000 0.000 0.655
```

Top 12 peaks for 2θ = 5–70°, low angle first:
- (0 0 2), 12.62°, intensity 5
- (0 0 4), 25.41°, intensity 4
- (1 0 1), 26.83°, intensity 8
- (1 0 3), 32.44°, intensity 100
- (1 1 0), 37.18°, intensity 35
- (0 0 6), 38.52°, intensity 15
- (1 0 7), 52.97°, intensity 4
- (2 0 0), 53.59°, intensity 12
- (1 1 6), 54.61°, intensity 22
- (2 1 3), 64.05°, intensity 29
- (1 0 9), 65.87°, intensity 12
- (2 0 6), 67.92°, intensity 11

---

(12)
Structure and simulated powder diffraction line list of Al7V3 (a structure optimized by DFT (GGA-PBE); Cu Kα).
Kinematic intensities with the Lorentz-polarization factor, no thermal factor.

Structural model:
```
data_Al7V3
_cell_length_a 14.103
_cell_length_b 3.794
_cell_length_c 5.569
_cell_angle_alpha 90.00
_cell_angle_beta 99.13
_cell_angle_gamma 90.00
_symmetry_space_group_name_H-M 'C 1 2/m 1'
_symmetry_Int_Tables_number 12
loop_
_symmetry_equiv_pos_as_xyz
'x,y,z'
'-x,-y,-z'
'-x,y,-z'
'x,-y,z'
'x+1/2,y+1/2,z'
'-x+1/2,-y+1/2,-z'
'-x+1/2,y+1/2,-z'
'x+1/2,-y+1/2,z'
loop_
_atom_site_label
_atom_site_type_symbol
_atom_site_fract_x
_atom_site_fract_y
_atom_site_fract_z
Al1 Al 0.000 0.000 0.000
Al2 Al 0.097 0.500 0.302
Al3 Al 0.107 0.500 0.803
Al4 Al 0.205 0.000 0.608
V1 V 0.000 0.000 0.500
V2 V 0.192 0.000 0.106
```

Top 12 peaks for 2θ = 5–70°, low angle first:
- (2 0 1), 22.13°, intensity 5
- (1 1 0), 24.31°, intensity 3
- (4 0 -1), 28.08°, intensity 2
- (3 1 -1), 33.09°, intensity 5
- (3 1 1), 36.08°, intensity 1
- (1 1 -2), 40.18°, intensity 100
- (4 0 2), 45.15°, intensity 18
- (6 0 -2), 47.06°, intensity 15
- (0 2 0), 47.95°, intensity 15
- (2 0 -4), 67.27°, intensity 10
- (4 2 2), 67.98°, intensity 10
- (6 2 -2), 69.46°, intensity 9

---

(13)
Structure and simulated powder diffraction line list of Bi5AuI2 (a structure optimized by DFT (GGA-PBE); Cu Kα).
Kinematic intensities with the Lorentz-polarization factor, no thermal factor.

Structural model:
```
data_Bi5AuI2
_cell_length_a 6.375
_cell_length_b 6.394
_cell_length_c 8.486
_cell_angle_alpha 103.82
_cell_angle_beta 103.77
_cell_angle_gamma 92.47
_symmetry_space_group_name_H-M 'P 1'
_symmetry_Int_Tables_number 1
loop_
_symmetry_equiv_pos_as_xyz
'x,y,z'
loop_
_atom_site_label
_atom_site_type_symbol
_atom_site_fract_x
_atom_site_fract_y
_atom_site_fract_z
Bi1 Bi 0.000 0.000 0.000
Bi2 Bi 0.054 0.676 0.224
Bi3 Bi 0.379 0.623 0.000
Bi4 Bi 0.484 0.105 0.218
Bi5 Bi 0.874 0.494 0.797
Au1 Au 0.706 0.328 0.050
I1 I 0.478 0.590 0.538
I2 I 0.970 0.098 0.540
```

Top 12 peaks for 2θ = 5–70°, low angle first:
- (0 0 1), 11.11°, intensity 100
- (1 -1 1), 22.29°, intensity 39
- (1 1 -2), 25.10°, intensity 54
- (1 1 1), 27.47°, intensity 28
- (2 0 0), 28.97°, intensity 42
- (-1 1 2), 29.64°, intensity 68
- (1 -2 0), 31.03°, intensity 24
- (1 1 -3), 33.19°, intensity 33
- (-1 2 1), 34.33°, intensity 35
- (1 1 2), 36.26°, intensity 48
- (2 -2 0), 39.09°, intensity 28
- (2 2 -2), 41.61°, intensity 22